Starting from a PBE-relaxed structure, the powder diffractogram of SrAg2I4O8 was simulated for Cu Kα (weighted mean of Kα1 and Kα2).
No peak broadening, texture or thermal motion is included.

Atomic structure:
Cell: 7.721 7.721 10.501 Å, 90.00 90.00 90.00°
Space group I422 (No. 97)
Asymmetric unit:
Sr (0.000, 0.000, 0.000)
Ag (0.000, 0.500, 0.000)
I (0.243, 0.257, 0.750)
O (0.037, 0.272, 0.150)

Top 10 peaks for 15° ≤ 2θ ≤ 90°, in order of falling intensity:
2theta  I (rel.)  index
28.70  100  2 0 2
56.07  28  4 2 2
48.09  28  2 2 4
32.81  25  2 2 0
47.08  15  4 0 0
57.85  13  2 0 6
34.16  12  0 0 4
77.69  11  4 2 6
59.44  10  4 0 4
88.28  9  6 2 4